This entry pairs a crystal structure of La3Ce2ScAs6 with its theoretical PXRD pattern. Radiation: Cu Kα, 1.54184 Å. Structure: a cell relaxed with GGA-PBE.
No peak broadening, texture or thermal motion is included.

The 10 most intense peaks (2θ from 10° to 90°), most intense first:
- 2θ = 29.8°, rel. 100
- 2θ = 42.6°, rel. 49
- 2θ = 42.7°, rel. 25
- 2θ = 70.0°, rel. 21
- 2θ = 52.8°, rel. 19
- 2θ = 70.2°, rel. 11
- 2θ = 25.7°, rel. 10
- 2θ = 77.8°, rel. 10
- 2θ = 78.0°, rel. 8
- 2θ = 61.8°, rel. 8

Crystal structure
a b c (Å): 9.490 9.490 8.493
angles (deg): 103.15 103.15 25.88
Fractional positions:
1 La 0.000 0.000 0.000
2 La 0.333 0.333 0.665
3 La 0.667 0.667 0.335
4 Ce 0.336 0.336 0.170
5 Ce 0.664 0.664 0.830
6 Sc 0.000 0.000 0.500
7 As 0.159 0.159 0.587
8 As 0.170 0.170 0.077
9 As 0.499 0.499 0.268
10 As 0.501 0.501 0.732
11 As 0.830 0.830 0.923
12 As 0.841 0.841 0.413

=====

This entry pairs a crystal structure of TbHoPaO6 with its theoretical PXRD pattern. Radiation: Cu Kα, 1.54184 Å. Structure: a cell relaxed with GGA-PBE.
No peak broadening, texture or thermal motion is included.

The 10 most intense peaks (2θ from 10° to 90°), most intense first:
- 2θ = 26.1°, rel. 100
- 2θ = 30.9°, rel. 54
- 2θ = 50.2°, rel. 40
- 2θ = 52.1°, rel. 31
- 2θ = 40.8°, rel. 31
- 2θ = 54.9°, rel. 17
- 2θ = 70.7°, rel. 13
- 2θ = 77.6°, rel. 11
- 2θ = 69.1°, rel. 10
- 2θ = 79.7°, rel. 9

Crystal structure
a b c (Å): 5.790 5.790 4.675
angles (deg): 90.00 90.00 120.00
Fractional positions:
1 Tb 0.000 0.000 0.000
2 Ho 0.333 0.667 0.000
3 Pa 0.667 0.333 0.500
4 O 0.349 0.013 0.245
5 O 0.349 0.337 0.755
6 O 0.663 0.013 0.755
7 O 0.663 0.651 0.245
8 O 0.987 0.337 0.245
9 O 0.987 0.651 0.755

=====

This entry pairs a crystal structure of NpTlPdSe3 with its theoretical PXRD pattern. Radiation: Cu Kα, 1.54184 Å. Structure: a cell relaxed with GGA-PBE.
No peak broadening, texture or thermal motion is included.

The 10 most intense peaks (2θ from 10° to 90°), most intense first:
- 2θ = 29.5°, rel. 100
- 2θ = 30.0°, rel. 94
- 2θ = 11.9°, rel. 69
- 2θ = 29.8°, rel. 44
- 2θ = 43.4°, rel. 43
- 2θ = 35.7°, rel. 38
- 2θ = 23.5°, rel. 36
- 2θ = 48.1°, rel. 34
- 2θ = 20.9°, rel. 30
- 2θ = 24.0°, rel. 29

Crystal structure
a b c (Å): 8.933 4.166 9.460
angles (deg): 90.00 107.83 90.00
Fractional positions:
1 Np 0.182 0.250 0.159
2 Np 0.818 0.750 0.841
3 Tl 0.306 0.750 0.761
4 Tl 0.694 0.250 0.239
5 Pd 0.409 0.750 0.416
6 Pd 0.591 0.250 0.584
7 Se 0.040 0.250 0.844
8 Se 0.278 0.250 0.466
9 Se 0.381 0.750 0.130
10 Se 0.619 0.250 0.870
11 Se 0.722 0.750 0.534
12 Se 0.960 0.750 0.156

=====

This entry pairs a crystal structure of LaTb3Dy2Y6 with its theoretical PXRD pattern. Radiation: Cu Kα, 1.54184 Å. Structure: a cell relaxed with GGA-PBE.
No peak broadening, texture or thermal motion is included.

The 10 most intense peaks (2θ from 10° to 90°), most intense first:
- 2θ = 30.6°, rel. 100
- 2θ = 35.5°, rel. 50
- 2θ = 51.1°, rel. 35
- 2θ = 60.7°, rel. 35
- 2θ = 85.9°, rel. 11
- 2θ = 63.7°, rel. 9
- 2θ = 83.2°, rel. 9
- 2θ = 15.2°, rel. 8
- 2θ = 83.3°, rel. 7
- 2θ = 60.8°, rel. 7

Crystal structure
a b c (Å): 6.199 6.199 11.852
angles (deg): 94.98 94.98 119.96
Fractional positions:
1 La 0.000 0.000 0.000
2 Tb 0.167 0.833 0.500
3 Tb 0.500 0.500 0.500
4 Tb 0.833 0.167 0.500
5 Dy 0.333 0.667 0.000
6 Dy 0.667 0.333 0.000
7 Y 0.084 0.419 0.252
8 Y 0.250 0.250 0.748
9 Y 0.419 0.084 0.252
10 Y 0.581 0.916 0.748
11 Y 0.750 0.750 0.252
12 Y 0.916 0.581 0.748

=====

This entry pairs a crystal structure of Ba3Mg2RuO8 with its theoretical PXRD pattern. Radiation: Cu Kα, 1.54184 Å. Structure: a cell relaxed with GGA-PBE.
No peak broadening, texture or thermal motion is included.

The 10 most intense peaks (2θ from 10° to 90°), most intense first:
- 2θ = 30.9°, rel. 100
- 2θ = 29.5°, rel. 86
- 2θ = 43.2°, rel. 47
- 2θ = 21.2°, rel. 32
- 2θ = 54.0°, rel. 32
- 2θ = 11.6°, rel. 22
- 2θ = 37.7°, rel. 22
- 2θ = 54.9°, rel. 19
- 2θ = 51.4°, rel. 17
- 2θ = 64.3°, rel. 17

Crystal structure
a b c (Å): 5.795 5.795 7.603
angles (deg): 90.00 90.00 120.00
Fractional positions:
1 Ba 0.000 0.000 0.000
2 Ba 0.333 0.667 0.652
3 Ba 0.667 0.333 0.348
4 Mg 0.333 0.667 0.225
5 Mg 0.667 0.333 0.775
6 Ru 0.000 0.000 0.500
7 O 0.158 0.316 0.346
8 O 0.158 0.842 0.346
9 O 0.316 0.158 0.654
10 O 0.333 0.667 0.977
11 O 0.667 0.333 0.023
12 O 0.684 0.842 0.346
13 O 0.842 0.158 0.654
14 O 0.842 0.684 0.654

=====

This entry pairs a crystal structure of Ac4Mg2Pt with its theoretical PXRD pattern. Radiation: Cu Kα, 1.54184 Å. Structure: a cell relaxed with GGA-PBE.
No peak broadening, texture or thermal motion is included.

The 10 most intense peaks (2θ from 10° to 90°), most intense first:
- 2θ = 30.7°, rel. 100
- 2θ = 16.1°, rel. 87
- 2θ = 30.1°, rel. 82
- 2θ = 24.0°, rel. 80
- 2θ = 10.3°, rel. 62
- 2θ = 44.3°, rel. 62
- 2θ = 43.6°, rel. 41
- 2θ = 31.1°, rel. 40
- 2θ = 44.0°, rel. 38
- 2θ = 54.9°, rel. 34

Crystal structure
a b c (Å): 9.554 9.554 9.554
angles (deg): 144.55 144.55 51.01
Fractional positions:
1 Ac 0.000 0.500 0.500
2 Ac 0.179 0.179 0.000
3 Ac 0.500 0.000 0.500
4 Ac 0.821 0.821 0.000
5 Mg 0.377 0.377 0.000
6 Mg 0.623 0.623 0.000
7 Pt 0.000 0.000 0.000

=====

Which formula does entry 1 have? La3Ce2ScAs6